Structure and simulated PXRD pattern of ThP2O7 (a DFT-relaxed cell (GGA-PBE, the Materials Project); Cu Kα).

Cell and atoms:
a = 9.027 Å, b = 9.027 Å, c = 9.027 Å
α = 90.00°, β = 90.00°, γ = 90.00°
Space group Pa-3 (No. 205)
Asymmetric unit:
Th  0.000  0.000  0.000 x4
P  0.101  0.601  0.899 x8
O  0.000  0.000  0.500 x4
O  0.056  0.738  0.429 x24

Principal peaks in the range 2θ from 10° to 90°, sorted by position:
| index | 2θ (°) | d_spacing | I_rel |
| --- | --- | --- | --- |
| 1 1 1 | 17.01 | 5.212 | 74 |
| 2 0 0 | 19.67 | 4.513 | 100 |
| 2 2 0 | 27.96 | 3.191 | 52 |
| 3 1 1 | 32.91 | 2.722 | 68 |
| 2 2 2 | 34.42 | 2.606 | 16 |
| 3 3 1 | 43.71 | 2.071 | 27 |
| 4 0 2 | 44.91 | 2.018 | 38 |
| 4 2 2 | 49.47 | 1.843 | 30 |
| 5 1 1 | 52.69 | 1.737 | 32 |
| 5 1 3 | 60.70 | 1.526 | 21 |
| 4 4 2 | 61.65 | 1.504 | 17 |
| 5 5 3 | 81.99 | 1.175 | 16 |



Structure and simulated PXRD pattern of CsTm2Cu3Se5 (a DFT-relaxed cell (GGA-PBE, the Materials Project); Cu Kα).

Cell and atoms:
a = 4.116 Å, b = 14.681 Å, c = 17.243 Å
α = 90.00°, β = 90.00°, γ = 90.00°
Space group Cmcm (No. 63)
Asymmetric unit:
Cs  0.000  0.061  0.250 x4
Tm  0.000  0.192  0.592 x8
Cu  0.000  0.344  0.250 x4
Cu  0.000  0.417  0.533 x8
Se  0.000  0.170  0.070 x8
Se  0.000  0.238  0.750 x4
Se  0.000  0.437  0.112 x8

Principal peaks in the range 2θ from 10° to 90°, sorted by position:
| index | 2θ (°) | d_spacing | I_rel |
| --- | --- | --- | --- |
| 0 2 0 | 12.06 | 7.340 | 39 |
| 0 4 1 | 24.78 | 3.594 | 50 |
| 1 3 0 | 28.33 | 3.150 | 68 |
| 1 3 1 | 28.81 | 3.098 | 100 |
| 1 3 2 | 30.21 | 2.959 | 76 |
| 0 0 6 | 31.12 | 2.874 | 91 |
| 1 3 4 | 35.29 | 2.543 | 66 |
| 1 5 0 | 37.63 | 2.390 | 61 |
| 1 5 2 | 39.11 | 2.303 | 38 |
| 2 0 0 | 44.00 | 2.058 | 68 |
| 1 3 7 | 46.82 | 1.940 | 74 |
| 0 8 0 | 49.64 | 1.836 | 43 |



Structure and simulated PXRD pattern of CsRb2InCl6 (a DFT-relaxed cell (GGA-PBE, the Materials Project); Cu Kα).

Cell and atoms:
a = 11.561 Å, b = 11.561 Å, c = 11.561 Å
α = 90.00°, β = 90.00°, γ = 90.00°
Space group Fm-3m (No. 225)
Asymmetric unit:
Cs  0.000  0.000  0.000 x4
Rb  0.250  0.250  0.250 x8
In  0.000  0.000  0.500 x4
Cl  0.000  0.000  0.280 x24

Principal peaks in the range 2θ from 10° to 90°, sorted by position:
| index | 2θ (°) | d_spacing | I_rel |
| --- | --- | --- | --- |
| 2 0 0 | 15.33 | 5.781 | 22 |
| 2 2 0 | 21.74 | 4.087 | 100 |
| 4 0 0 | 30.94 | 2.890 | 63 |
| 4 2 2 | 38.13 | 2.360 | 43 |
| 4 4 0 | 44.32 | 2.044 | 41 |
| 6 2 0 | 49.89 | 1.828 | 26 |
| 4 4 4 | 55.03 | 1.669 | 13 |
| 6 4 2 | 59.87 | 1.545 | 28 |
| 6 6 0 | 68.92 | 1.362 | 12 |
| 8 4 0 | 73.23 | 1.293 | 15 |
| 8 4 4 | 81.59 | 1.180 | 11 |
| 10 2 0 | 85.69 | 1.134 | 15 |



Structure and simulated PXRD pattern of CeB4Ir2Os2 (a DFT-relaxed cell (GGA-PBE, the Materials Project); Cu Kα).

Cell and atoms:
a = 7.624 Å, b = 7.624 Å, c = 4.010 Å
α = 90.00°, β = 90.00°, γ = 90.00°
Space group P4_2 (No. 77)
Asymmetric unit:
Ce  0.000  0.500  0.000 x2
B  0.161  0.216  0.618 x4
B  0.278  0.662  0.395 x4
Ir  0.342  0.390  0.392 x4
Os  0.110  0.854  0.614 x4

Principal peaks in the range 2θ from 10° to 90°, sorted by position:
| index | 2θ (°) | d_spacing | I_rel |
| --- | --- | --- | --- |
| 1 1 0 | 16.44 | 5.391 | 28 |
| 1 1 1 | 27.73 | 3.217 | 22 |
| 2 1 1 | 34.53 | 2.598 | 100 |
| 1 3 0 | 37.30 | 2.411 | 60 |
| 2 2 1 | 40.32 | 2.237 | 30 |
| 3 1 1 | 43.82 | 2.066 | 15 |
| 1 0 2 | 46.85 | 1.939 | 26 |
| 2 3 1 | 48.68 | 1.870 | 19 |
| 3 0 2 | 58.65 | 1.574 | 16 |
| 5 0 1 | 65.49 | 1.425 | 15 |
| 1 4 2 | 69.10 | 1.359 | 15 |
| 4 3 2 | 78.87 | 1.214 | 14 |



Structure and simulated PXRD pattern of TiPbO3 (a DFT-relaxed cell (GGA-PBE, the Materials Project); Cu Kα).

Cell and atoms:
a = 3.861 Å, b = 3.861 Å, c = 4.627 Å
α = 90.00°, β = 90.00°, γ = 90.00°
Space group P4mm (No. 99)
Asymmetric unit:
Ti  0.000  0.000  0.000 x1
Pb  0.500  0.500  0.448 x1
O  0.000  0.000  0.622 x1
O  0.000  0.500  0.106 x2

Principal peaks in the range 2θ from 10° to 90°, sorted by position:
| index | 2θ (°) | d_spacing | I_rel |
| --- | --- | --- | --- |
| 0 0 1 | 19.18 | 4.627 | 27 |
| 1 0 0 | 23.03 | 3.861 | 30 |
| 1 0 1 | 30.15 | 2.965 | 100 |
| 1 1 0 | 32.80 | 2.730 | 38 |
| 1 1 1 | 38.28 | 2.351 | 32 |
| 1 0 2 | 45.72 | 1.985 | 18 |
| 2 0 0 | 47.07 | 1.931 | 22 |
| 1 1 2 | 51.80 | 1.765 | 23 |
| 2 1 1 | 56.92 | 1.618 | 34 |
| 1 0 3 | 65.13 | 1.432 | 12 |
| 2 1 2 | 67.71 | 1.384 | 12 |
| 2 1 3 | 84.16 | 1.150 | 12 |



Structure and simulated PXRD pattern of Rb2Zn5Sb4 (a DFT-relaxed cell (GGA-PBE, the Materials Project); Cu Kα).

Cell and atoms:
a = 12.580 Å, b = 7.701 Å, c = 12.621 Å
α = 90.00°, β = 90.00°, γ = 90.00°
Space group Cmcm (No. 63)
Asymmetric unit:
Rb  0.224  0.000  0.000 x8
Zn  0.000  0.006  0.250 x4
Zn  0.000  0.343  0.611 x8
Zn  0.140  0.392  0.250 x8
Sb  0.000  0.276  0.099 x8
Sb  0.159  0.241  0.750 x8

Principal peaks in the range 2θ from 10° to 90°, sorted by position:
| index | 2θ (°) | d_spacing | I_rel |
| --- | --- | --- | --- |
| 0 0 2 | 14.06 | 6.301 | 42 |
| 3 1 1 | 25.17 | 3.538 | 63 |
| 2 2 0 | 27.15 | 3.285 | 39 |
| 3 1 2 | 28.06 | 3.180 | 42 |
| 0 0 4 | 28.33 | 3.150 | 24 |
| 2 2 2 | 30.69 | 2.913 | 73 |
| 2 0 4 | 31.75 | 2.818 | 100 |
| 1 3 0 | 35.70 | 2.515 | 20 |
| 4 2 1 | 37.58 | 2.393 | 19 |
| 3 3 1 | 41.87 | 2.158 | 78 |
| 6 0 0 | 43.15 | 2.097 | 19 |
| 4 2 4 | 47.15 | 1.928 | 48 |



Structure and simulated PXRD pattern of Ti2ZnN2 (a DFT-relaxed cell (GGA-PBE, the Materials Project); Cu Kα).

Cell and atoms:
a = 3.139 Å, b = 3.139 Å, c = 7.631 Å
α = 90.00°, β = 90.00°, γ = 90.00°
Space group P-4m2 (No. 115)
Asymmetric unit:
Ti  0.000  0.000  0.189 x2
Zn  0.500  0.500  0.500 x1
N  0.000  0.500  0.671 x2

Principal peaks in the range 2θ from 10° to 90°, sorted by position:
| index | 2θ (°) | d_spacing | I_rel |
| --- | --- | --- | --- |
| 0 0 1 | 11.60 | 7.631 | 50 |
| 1 0 1 | 30.80 | 2.903 | 100 |
| 0 0 3 | 35.28 | 2.544 | 24 |
| 1 0 2 | 37.09 | 2.424 | 100 |
| 1 1 0 | 40.65 | 2.220 | 37 |
| 1 1 3 | 54.90 | 1.672 | 48 |
| 1 0 4 | 56.44 | 1.630 | 7 |
| 2 0 0 | 58.84 | 1.570 | 21 |
| 2 1 1 | 67.89 | 1.381 | 18 |
| 1 0 5 | 68.34 | 1.373 | 19 |
| 2 0 3 | 70.50 | 1.336 | 12 |
| 2 1 2 | 71.63 | 1.317 | 25 |



Structure and simulated PXRD pattern of CuPt (a DFT-relaxed cell (GGA-PBE, the Materials Project); Cu Kα).

Cell and atoms:
a = 2.7465 Å, b = 2.7465 Å, c = 12.8626 Å
α = 90.00°, β = 90.00°, γ = 120.00°
Space group R-3m (No. 166, hexagonal axes)
Asymmetric unit:
Cu  0.0000  0.0000  0.0000 x3
Pt  0.0000  0.0000  0.5000 x3

Principal peaks in the range 2θ from 10° to 90°, sorted by position:
| index | 2θ (°) | d_spacing | I_rel |
| --- | --- | --- | --- |
| 0 0 3 | 20.72 | 4.288 | 39 |
| 1 0 1 | 38.49 | 2.339 | 25 |
| 0 1 2 | 40.43 | 2.231 | 100 |
| 0 0 6 | 42.15 | 2.144 | 30 |
| 1 0 4 | 47.55 | 1.912 | 63 |
| 0 1 5 | 52.39 | 1.746 | 11 |
| 1 1 0 | 68.30 | 1.373 | 21 |
| 0 1 8 | 70.73 | 1.332 | 19 |
| 2 0 2 | 82.48 | 1.169 | 12 |
| 1 1 6 | 83.62 | 1.156 | 24 |
| 1 0 10 | 85.90 | 1.131 | 11 |
| 0 2 4 | 87.44 | 1.115 | 11 |



Structure and simulated PXRD pattern of Eu3Si4 (a DFT-relaxed cell (GGA-PBE, the Materials Project); Cu Kα).

Cell and atoms:
a = 3.966 Å, b = 18.323 Å, c = 4.559 Å
α = 90.00°, β = 90.00°, γ = 90.00°
Space group Imm2 (No. 44)
Asymmetric unit:
Eu  0.000  0.000  0.000 x2
Eu  0.000  0.315  0.498 x4
Si  0.000  0.138  0.495 x4
Si  0.000  0.435  0.015 x4

Principal peaks in the range 2θ from 10° to 90°, sorted by position:
| index | 2θ (°) | d_spacing | I_rel |
| --- | --- | --- | --- |
| 0 1 1 | 20.07 | 4.424 | 28 |
| 1 3 0 | 26.80 | 3.326 | 60 |
| 0 6 0 | 29.24 | 3.054 | 25 |
| 0 5 1 | 31.32 | 2.856 | 66 |
| 1 2 1 | 31.45 | 2.844 | 100 |
| 1 4 1 | 35.85 | 2.505 | 21 |
| 0 0 2 | 39.53 | 2.280 | 26 |
| 2 0 0 | 45.75 | 1.983 | 17 |
| 1 3 2 | 48.41 | 1.880 | 25 |
| 1 8 1 | 50.16 | 1.819 | 21 |
| 2 5 1 | 56.49 | 1.629 | 25 |
| 0 5 3 | 66.67 | 1.403 | 19 |



Structure and simulated PXRD pattern of NaAc2Sn (a DFT-relaxed cell (GGA-PBE, the Materials Project); Cu Kα).

Cell and atoms:
a = 8.241 Å, b = 8.241 Å, c = 8.241 Å
α = 90.00°, β = 90.00°, γ = 90.00°
Space group Fm-3m (No. 225)
Asymmetric unit:
Na  0.000  0.000  0.000 x4
Ac  0.250  0.250  0.250 x8
Sn  0.000  0.000  0.500 x4

Principal peaks in the range 2θ from 10° to 90°, sorted by position:
| index | 2θ (°) | d_spacing | I_rel |
| --- | --- | --- | --- |
| 1 1 1 | 18.65 | 4.758 | 6 |
| 2 0 0 | 21.57 | 4.121 | 30 |
| 2 2 0 | 30.69 | 2.914 | 100 |
| 2 2 2 | 37.82 | 2.379 | 10 |
| 4 0 0 | 43.95 | 2.060 | 19 |
| 4 2 0 | 49.46 | 1.843 | 14 |
| 4 2 2 | 54.55 | 1.682 | 41 |
| 4 4 0 | 63.90 | 1.457 | 13 |
| 6 0 0 | 68.29 | 1.374 | 7 |
| 6 2 0 | 72.55 | 1.303 | 18 |
| 4 4 4 | 80.80 | 1.189 | 4 |
| 6 4 2 | 88.86 | 1.101 | 22 |